Starting from a cell relaxed with PBE, the powder diffraction line list of Pr12Ge5S28 was simulated for Cu Kα, 1.54184 Å.
Intensities are scaled so that the largest is 100.

Top 10 peaks for 10 to 90 degrees two-theta, in order of falling intensity:
2θ = 25.1°, intensity 100
2θ = 35.0°, intensity 36
2θ = 36.5°, intensity 33
2θ = 20.0°, intensity 32
2θ = 36.7°, intensity 32
2θ = 39.7°, intensity 31
2θ = 23.0°, intensity 30
2θ = 40.9°, intensity 24
2θ = 49.5°, intensity 20
2θ = 30.5°, intensity 19

Atomic structure:
Cell lengths 10.2678, 11.7297, 11.8125 Å; angles 60.25, 64.24, 90.00 degrees
Fractional coordinates of all 45 atoms:
Pr: 0.0000 0.0000 0.0000
Pr: 0.0058 0.4923 0.9804
Pr: 0.2525 0.6041 0.2890
Pr: 0.2677 0.1010 0.2662
Pr: 0.3528 0.3697 0.7569
Pr: 0.3638 0.8508 0.7675
Pr: 0.4778 0.7756 0.4140
Pr: 0.4956 0.3019 0.3958
Pr: 0.7654 0.8027 0.8645
Pr: 0.7843 0.3188 0.8572
Pr: 0.8979 0.2479 0.5028
Pr: 0.9075 0.7279 0.5094
Ge: 0.1311 0.0605 0.6343
Ge: 0.4641 0.4655 0.9666
Ge: 0.4639 0.9665 0.9681
Ge: 0.7938 0.0504 0.3028
Ge: 0.8009 0.5533 0.2988
S: 0.0210 0.0095 0.2315
S: 0.0303 0.5206 0.2082
S: 0.0353 0.2968 0.8993
S: 0.0453 0.8354 0.8642
S: 0.2150 0.2921 0.3968
S: 0.2263 0.8142 0.3711
S: 0.2346 0.3466 0.0529
S: 0.2358 0.8492 0.0477
S: 0.2840 0.1318 0.7173
S: 0.2975 0.6355 0.7294
S: 0.3629 0.0221 0.4884
S: 0.3936 0.5162 0.4637
S: 0.4570 0.6470 0.9799
S: 0.4709 0.1604 0.9548
S: 0.5461 0.3152 0.1144
S: 0.5493 0.8183 0.1111
S: 0.6090 0.5026 0.7388
S: 0.6111 0.0050 0.7375
S: 0.6486 0.3617 0.5282
S: 0.6519 0.8586 0.5309
S: 0.7039 0.0431 0.1626
S: 0.7293 0.5537 0.1439
S: 0.7963 0.7386 0.3026
S: 0.7983 0.2402 0.2987
S: 0.8682 0.5995 0.8006
S: 0.8938 0.0972 0.7873
S: 0.9611 0.4775 0.5395
S: 0.9874 0.9934 0.5470

=====

Starting from a cell relaxed with PBE, the powder diffraction line list of Nd2Ni7 was simulated for Cu Kα, 1.54184 Å.
Intensities are scaled so that the largest is 100.

Top 10 peaks for 10 to 90 degrees two-theta, in order of falling intensity:
2θ = 42.2°, intensity 100
2θ = 35.7°, intensity 47
2θ = 31.9°, intensity 40
2θ = 41.5°, intensity 35
2θ = 33.9°, intensity 32
2θ = 68.6°, intensity 22
2θ = 75.5°, intensity 21
2θ = 44.5°, intensity 15
2θ = 46.1°, intensity 12
2θ = 61.7°, intensity 12

Atomic structure:
Cell lengths 12.5454, 12.5454, 12.5454 Å; angles 23.15, 23.15, 23.15 degrees
Fractional coordinates of all 18 atoms:
Nd: 0.0505 0.0505 0.0505
Nd: 0.1475 0.1475 0.1475
Nd: 0.8525 0.8525 0.8525
Nd: 0.9495 0.9495 0.9495
Ni: 0.0000 0.5000 0.5000
Ni: 0.1087 0.6085 0.6085
Ni: 0.2784 0.2784 0.2784
Ni: 0.3880 0.3880 0.3880
Ni: 0.3915 0.3915 0.8913
Ni: 0.3915 0.8913 0.3915
Ni: 0.5000 0.0000 0.5000
Ni: 0.5000 0.5000 0.0000
Ni: 0.5000 0.5000 0.5000
Ni: 0.6085 0.1087 0.6085
Ni: 0.6085 0.6085 0.1087
Ni: 0.6120 0.6120 0.6120
Ni: 0.7216 0.7216 0.7216
Ni: 0.8913 0.3915 0.3915